# 1
Starting from a structure optimized by DFT (PBE), the powder diffraction line list of Na3PdPb2 was simulated for Cu Kα, 1.54184 Å.
Neutral-atom scattering factors, no anomalous dispersion.

Principal peaks in the range 15 to 90 degrees two-theta, most intense first:
23.17 deg, 3.839 Å, I = 100
15.28 deg, 5.799 Å, I = 88
36.49 deg, 2.462 Å, I = 51
36.81 deg, 2.442 Å, I = 45
33.32 deg, 2.689 Å, I = 45
19.84 deg, 4.475 Å, I = 28
36.30 deg, 2.475 Å, I = 25
55.75 deg, 1.649 Å, I = 24
42.35 deg, 2.134 Å, I = 21
41.71 deg, 2.166 Å, I = 19

Crystal structure
```
12
Lattice="-3.065 8.951 2.949 3.065 -8.951 2.949 3.065 8.951 -2.949" Properties=species:S:1:pos:R:3 pbc="T T T"
Na 0.966 3.422 0.000
Na 0.000 0.000 1.474
Na 4.031 5.529 0.000
Na -0.966 3.422 2.949
Na 0.000 0.000 4.423
Na 2.099 5.529 2.949
Pd 3.065 0.000 1.474
Pd 0.000 8.951 1.474
Pb 3.978 2.221 0.000
Pb 0.913 6.729 0.000
Pb 2.152 2.221 2.949
Pb -0.913 6.729 2.949
```


# 2
Starting from a structure optimized by DFT (PBE), the powder diffraction line list of La2Pr2Sn was simulated for Cu Kα, 1.54184 Å.
Neutral-atom scattering factors, no anomalous dispersion.

Principal peaks in the range 15 to 90 degrees two-theta, most intense first:
31.77 deg, 2.816 Å, I = 100
32.24 deg, 2.777 Å, I = 99
56.90 deg, 1.618 Å, I = 39
45.90 deg, 1.977 Å, I = 37
64.33 deg, 1.448 Å, I = 24
56.61 deg, 1.626 Å, I = 19
22.48 deg, 3.954 Å, I = 19
75.74 deg, 1.256 Å, I = 17
18.19 deg, 4.878 Å, I = 16
82.33 deg, 1.171 Å, I = 12

Crystal structure
```
5
Lattice="5.632 0.000 0.000 -2.816 4.878 0.000 0.000 0.000 6.754" Properties=species:S:1:pos:R:3 pbc="T T T"
La 0.000 0.000 0.000
La 0.000 3.252 3.377
Pr 2.816 1.626 1.806
Pr 2.816 1.626 4.948
Sn 0.000 0.000 3.377
```


# 3
Starting from a structure optimized by DFT (PBE), the powder diffraction line list of LaSm5Ho5 was simulated for Cu Kα, 1.54184 Å.
Neutral-atom scattering factors, no anomalous dispersion.

Principal peaks in the range 15 to 90 degrees two-theta, most intense first:
28.33 deg, 3.150 Å, I = 100
29.17 deg, 3.062 Å, I = 84
37.24 deg, 2.415 Å, I = 52
51.20 deg, 1.784 Å, I = 39
34.68 deg, 2.586 Å, I = 39
34.92 deg, 2.569 Å, I = 36
60.48 deg, 1.531 Å, I = 28
30.17 deg, 2.963 Å, I = 28
32.99 deg, 2.715 Å, I = 27
46.12 deg, 1.968 Å, I = 21

Crystal structure
```
11
Lattice="6.123 0.000 0.000 -3.062 5.303 0.000 0.000 0.000 11.748" Properties=species:S:1:pos:R:3 pbc="T T T"
La 0.000 0.000 0.000
Sm 0.000 0.000 3.819
Sm 0.000 0.000 7.929
Sm 0.000 3.535 1.852
Sm 0.000 3.535 9.896
Sm 3.062 1.768 0.000
Ho 4.592 2.651 5.874
Ho 3.062 0.001 5.874
Ho 1.532 2.651 5.874
Ho 3.062 1.768 3.124
Ho 3.062 1.768 8.624
```


# 4
Starting from a structure optimized by DFT (PBE), the powder diffraction line list of Ce2Zn3Ge6 was simulated for Cu Kα, 1.54184 Å.
Neutral-atom scattering factors, no anomalous dispersion.

Principal peaks in the range 15 to 90 degrees two-theta, most intense first:
33.40 deg, 2.683 Å, I = 100
42.75 deg, 2.115 Å, I = 48
37.38 deg, 2.406 Å, I = 36
46.40 deg, 1.957 Å, I = 17
72.33 deg, 1.306 Å, I = 16
64.92 deg, 1.436 Å, I = 15
37.02 deg, 2.428 Å, I = 14
62.05 deg, 1.496 Å, I = 14
30.78 deg, 2.904 Å, I = 14
55.31 deg, 1.661 Å, I = 13

Crystal structure
```
22
Lattice="2.992 -12.141 0.000 2.992 12.141 0.000 0.000 0.000 5.981" Properties=species:S:1:pos:R:3 pbc="T T T"
Ce 2.992 9.570 4.485
Ce 2.992 2.588 4.485
Ce 2.992 -2.588 1.495
Ce 2.992 -9.570 1.495
Zn 2.992 8.244 1.495
Zn 1.607 0.000 0.000
Zn 1.607 0.000 2.990
Zn 4.377 0.000 0.000
Zn 4.377 0.000 2.990
Zn 2.992 -8.244 4.485
Ge 2.992 10.744 1.495
Ge 1.697 4.852 0.203
Ge 1.697 4.852 2.788
Ge 2.992 1.753 1.495
Ge 1.697 -4.852 3.193
Ge 1.697 -4.852 5.778
Ge 4.288 4.852 0.203
Ge 4.288 4.852 2.788
Ge 2.992 -1.753 4.485
Ge 4.288 -4.852 3.193
Ge 4.288 -4.852 5.778
Ge 2.992 -10.744 4.485
```